Entry 1:
Starting from a PBE-relaxed structure, the powder X-ray diffraction pattern of Li2MgCd6 was simulated for Cu Kα (weighted mean of Kα1 and Kα2).
Peak positions follow from Bragg's law for the DFT cell and can differ from measured ones.

Largest 10 diffraction maxima, in order of rising 2θ, 10 to 80 degrees two-theta:
2theta  I/Imax
21.13  34.3
21.28  37.1
26.10  61.8
34.16  66.6
35.30  60.3
35.59  59.5
38.00  100.0
43.12  34.6
43.37  32.5
63.71  19.8

Structural model:
```
18
Lattice="6.922 -5.249 0.000 6.922 5.249 0.000 -0.869 0.000 5.170" Properties=species:S:1:pos:R:3 pbc="T T T"
Li 2.221 1.323 0.459
Li 1.786 -1.323 3.044
Li 11.189 1.323 2.127
Li 10.755 -1.323 4.712
Mg 6.271 1.276 3.878
Mg 6.705 -1.276 1.293
Cd 5.714 3.982 2.477
Cd 3.214 1.291 3.383
Cd 7.696 3.982 0.108
Cd 5.168 1.400 0.989
Cd 3.649 -1.291 0.798
Cd 8.243 1.400 1.596
Cd 4.733 -1.400 3.574
Cd 9.327 1.291 4.373
Cd 7.808 -1.400 4.181
Cd 5.280 -3.982 5.063
Cd 9.762 -1.291 1.787
Cd 7.261 -3.982 2.693
```

Entry 2:
Starting from a PBE-relaxed structure, the powder X-ray diffraction pattern of PmPr5Hg6 was simulated for Cu Kα (weighted mean of Kα1 and Kα2).
Peak positions follow from Bragg's law for the DFT cell and can differ from measured ones.

Largest 10 diffraction maxima, in order of rising 2θ, 10 to 80 degrees two-theta:
2theta  I/Imax
23.10  2.1
32.84  100.0
46.99  6.2
47.20  12.2
58.54  12.9
58.68  25.7
68.80  8.0
68.98  4.0
78.18  5.6
78.53  11.2

Structural model:
```
12
Lattice="2.721 -8.174 0.000 2.721 8.174 0.000 0.000 0.000 7.736" Properties=species:S:1:pos:R:3 pbc="T T T"
Pm 0.000 0.000 0.000
Pr 0.000 0.000 3.868
Pr 2.721 2.724 0.000
Pr 2.721 2.734 3.868
Pr 2.721 -2.724 0.000
Pr 2.721 -2.734 3.868
Hg 2.721 5.474 1.920
Hg 2.721 5.474 5.816
Hg 2.721 0.000 1.906
Hg 2.721 0.000 5.829
Hg 2.721 -5.474 1.920
Hg 2.721 -5.474 5.816
```

Entry 3:
Starting from a PBE-relaxed structure, the powder X-ray diffraction pattern of Tb5Ce2Ho2 was simulated for Cu Kα (weighted mean of Kα1 and Kα2).
Peak positions follow from Bragg's law for the DFT cell and can differ from measured ones.

Largest 10 diffraction maxima, in order of rising 2θ, 10 to 80 degrees two-theta:
2theta  I/Imax
31.10  18.1
31.55  81.3
31.85  100.0
32.06  44.4
45.09  15.7
45.80  19.3
56.38  22.1
56.85  19.7
57.01  14.2
58.32  9.6

Structural model:
```
9
Lattice="8.300 -2.792 0.000 8.300 2.792 0.000 -2.507 0.000 6.130" Properties=species:S:1:pos:R:3 pbc="T T T"
Tb 0.000 0.000 0.000
Tb 3.297 0.000 0.323
Tb 3.713 0.000 3.972
Tb 10.381 0.000 2.158
Tb 10.796 0.000 5.807
Ce 0.053 0.000 2.976
Ce 14.040 0.000 3.154
Ho 6.693 0.000 1.379
Ho 7.400 0.000 4.752
```